No. 1
Structure and simulated X-ray diffraction stick pattern of DyEr2Mg6 (a PBE-relaxed structure; Cu Kα).
Peak positions follow from Bragg's law for the DFT cell and can differ from measured ones.

Principal peaks in the range 15 to 90 degrees two-theta, low angle first:
| d (Å) | I/Imax | h k l |
| --- | --- | --- |
| 4.520 | 100 | 1 1 0 |
| 2.649 | 99 | 1 1 1 |
| 2.610 | 61 | 3 0 0 |
| 2.260 | 17 | 2 2 0 |
| 2.039 | 17 | 3 0 1 |
| 1.859 | 35 | 2 2 1 |
| 1.708 | 14 | 4 1 0 |
| 1.537 | 10 | 1 1 2 |
| 1.514 | 36 | 4 1 1 |
| 1.507 | 11 | 3 3 0 |
| 1.385 | 17 | 3 0 2 |
| 1.171 | 15 | 5 2 1 |

Structural model:
```
data_DyEr2Mg6
_chemical_formula_sum 'Dy1 Er2 Mg6'
_space_group_name_H-M_alt 'P 6/m m m'
_space_group_IT_number 191
_space_group_name_Hall '-P 6 2'
_cell_length_a 9.0400
_cell_length_b 9.0400
_cell_length_c 3.2689
_cell_angle_alpha 90.00
_cell_angle_beta 90.00
_cell_angle_gamma 120.00
loop_
_atom_site_label
_atom_site_type_symbol
_atom_site_fract_x
_atom_site_fract_y
_atom_site_fract_z
_atom_site_occupancy
Dy1 Dy 0.0000 0.0000 0.0000 1
Er1 Er 0.3333 0.6667 0.0000 1
Mg1 Mg 0.0000 0.3344 0.5000 1
```

=====

No. 2
Structure and simulated X-ray diffraction stick pattern of Dy6Er8Mg (a PBE-relaxed structure; Cu Kα).
Peak positions follow from Bragg's law for the DFT cell and can differ from measured ones.

Principal peaks in the range 15 to 90 degrees two-theta, low angle first:
| d (Å) | I/Imax | h k l |
| --- | --- | --- |
| 4.605 | 19 | 1 1 0 |
| 3.412 | 28 | 2 0 1 |
| 3.044 | 14 | 1 0 2 |
| 3.015 | 12 | 2 1 0 |
| 2.741 | 59 | 3 -2 1 |
| 2.679 | 100 | 1 1 2 |
| 2.659 | 60 | 3 0 0 |
| 2.466 | 13 | 3 0 1 |
| 1.887 | 13 | 4 -2 2 |
| 1.763 | 19 | 3 2 1 |
| 1.683 | 10 | 1 4 1 |
| 1.400 | 19 | 3 0 4 |

Structural model:
```
data_Dy6Er8Mg
_chemical_formula_sum 'Dy6 Er8 Mg1'
_space_group_name_H-M_alt 'P -3'
_space_group_IT_number 147
_cell_length_a 9.2106
_cell_length_b 9.2106
_cell_length_c 6.5860
_cell_angle_alpha 90.00
_cell_angle_beta 90.00
_cell_angle_gamma 120.00
loop_
_space_group_symop_operation_xyz
'x,y,z'
'-x,-y,-z'
'-y,x-y,z'
'y,-x+y,-z'
'-x+y,-x,z'
'x-y,x,-z'
loop_
_atom_site_label
_atom_site_type_symbol
_atom_site_fract_x
_atom_site_fract_y
_atom_site_fract_z
_atom_site_occupancy
Dy1 Dy 0.0880 0.6801 0.3993 1
Er1 Er 0.0177 0.3307 0.1065 1
Er2 Er 0.3333 0.6667 0.8288 1
Mg1 Mg 0.0000 0.0000 0.5000 1
```